1.
Computed powder X-ray diffraction pattern of Rb3Ag2Br3Cl2 for λ = 1.5418 Å (Cu Kα), from a crystal structure in Alexandria, relaxed with GGA-PBE.
Peak positions follow from Bragg's law for the DFT cell and can differ from measured ones.

Most intense lines, 2θ from 10° to 90°, in order of rising 2θ:
2θ (°), I_rel
24.80, 100.0
25.55, 29.8
28.47, 28.1
33.88, 21.0
35.35, 58.5
35.91, 27.2
44.12, 25.5
50.86, 19.8
52.53, 15.4
57.38, 19.0

Crystal structure
```
Rb3Ag2Br3Cl2
1.0
-2.5389 2.5389 13.9469
2.5389 -2.5389 13.9469
2.5389 2.5389 -13.9469
Rb Ag Br Cl
3 2 3 2
Cartesian
0.0000 0.0000 0.0000
0.0000 0.0000 10.1827
0.0000 0.0000 17.7112
0.0000 0.0000 6.0230
0.0000 0.0000 21.8708
0.0000 0.0000 3.3526
0.0000 0.0000 13.9469
0.0000 0.0000 24.5413
2.5389 0.0000 6.9735
0.0000 2.5389 6.9735
```

=====

2.
Computed powder X-ray diffraction pattern of ThFe2H4 for λ = 1.5418 Å (Cu Kα), from a crystal structure in Alexandria, relaxed with GGA-PBE.
Peak positions follow from Bragg's law for the DFT cell and can differ from measured ones.

Most intense lines, 2θ from 10° to 90°, in order of rising 2θ:
2θ (°), I_rel
23.84, 34.7
24.32, 14.8
31.46, 100.0
31.84, 50.1
41.12, 18.1
41.62, 17.1
42.51, 32.7
53.34, 23.8
59.94, 11.8
60.63, 22.6

Crystal structure
```
ThFe2H4
1.0
2.1699 -3.6593 0.0000
2.1699 3.6593 0.0000
0.0000 0.0000 8.7799
Th Fe H
2 4 8
Cartesian
0.0000 0.0000 2.1950
0.0000 0.0000 6.5850
2.1556 1.2355 0.0000
2.1841 1.2355 4.3900
2.1556 -1.2355 4.3900
2.1841 -1.2355 0.0000
1.0849 1.8296 1.2119
1.0849 1.8296 7.5680
0.6157 0.7931 4.3900
0.6157 -0.7931 0.0000
1.0849 -1.8296 3.1781
1.0849 -1.8296 5.6019
3.7240 0.7931 0.0000
3.7240 -0.7931 4.3900
```

=====

3.
Computed powder X-ray diffraction pattern of Ti7Ga2W for λ = 1.5418 Å (Cu Kα), from a crystal structure in Alexandria, relaxed with GGA-PBE.
Peak positions follow from Bragg's law for the DFT cell and can differ from measured ones.

Most intense lines, 2θ from 10° to 90°, in order of rising 2θ:
2θ (°), I_rel
16.37, 38.5
18.93, 45.7
26.89, 92.9
31.64, 28.4
38.39, 100.0
43.14, 20.1
47.50, 40.3
55.42, 65.0
69.43, 21.2
75.93, 20.3

Crystal structure
```
Ti7Ga2W
1.0
0.0000 4.6891 4.6891
4.6891 0.0000 4.6891
4.6891 4.6891 0.0000
Ti Ga W
7 2 1
Cartesian
0.0000 0.0000 0.0000
4.6891 4.6891 2.3107
4.6891 2.3107 4.6891
7.0676 4.6891 4.6891
2.3107 4.6891 4.6891
4.6891 7.0676 4.6891
4.6891 4.6891 7.0676
2.3446 2.3446 2.3446
7.0337 7.0337 7.0337
4.6891 4.6891 4.6891
```

=====

4.
Computed powder X-ray diffraction pattern of Li3Mg3Ag for λ = 1.5418 Å (Cu Kα), from a crystal structure in Alexandria, relaxed with GGA-PBE.
Peak positions follow from Bragg's law for the DFT cell and can differ from measured ones.

Most intense lines, 2θ from 10° to 90°, in order of rising 2θ:
2θ (°), I_rel
12.43, 17.5
21.62, 43.7
22.50, 100.0
25.02, 22.3
33.30, 19.8
37.88, 22.5
38.45, 89.1
44.05, 33.0
59.48, 21.9
68.80, 25.9

Crystal structure
```
Li3Mg3Ag
1.0
8.2198 0.0000 0.0000
-4.1099 7.1185 0.0000
0.0000 0.0000 4.7520
Li Mg Ag
6 6 2
Cartesian
-1.4096 3.9318 1.1880
1.4096 3.9318 1.1880
0.0000 6.3734 1.1880
4.1099 0.7451 3.5640
2.7002 3.1867 3.5640
5.5195 3.1867 3.5640
0.0000 1.9580 3.5640
-2.4142 6.1395 3.5640
1.6957 0.9790 1.1880
2.4142 6.1395 3.5640
6.5240 0.9790 1.1880
4.1099 5.1605 1.1880
0.0000 4.7457 3.5640
4.1099 2.3728 1.1880
```

=====

5.
Computed powder X-ray diffraction pattern of CsTeO3F for λ = 1.5418 Å (Cu Kα), from a crystal structure in Alexandria, relaxed with GGA-PBE.
Peak positions follow from Bragg's law for the DFT cell and can differ from measured ones.

Most intense lines, 2θ from 10° to 90°, in order of rising 2θ:
2θ (°), I_rel
16.13, 100.0
19.62, 89.6
21.32, 31.0
25.50, 21.2
26.65, 62.7
27.04, 74.8
31.02, 37.8
32.59, 37.7
41.52, 27.0
41.79, 36.9

Crystal structure
```
CsTeO3F
1.0
2.8833 -9.0510 0.0000
2.8833 9.0510 0.0000
-0.1134 0.0000 5.4963
Cs Te O F
2 2 6 2
Cartesian
2.7982 4.5453 4.1222
2.8549 -4.5453 1.3741
2.8549 0.6915 1.3741
2.7982 -0.6915 4.1222
1.6091 0.3205 2.9521
1.6658 -0.3205 0.2040
2.8549 2.4997 1.3741
2.7982 -2.4997 4.1222
3.9874 0.3205 5.2923
4.0441 -0.3205 2.5442
2.8549 5.3098 1.3741
2.7982 -5.3098 4.1222
```

=====

6.
Computed powder X-ray diffraction pattern of YTmTlSe for λ = 1.5418 Å (Cu Kα), from a crystal structure in Alexandria, relaxed with GGA-PBE.
Peak positions follow from Bragg's law for the DFT cell and can differ from measured ones.

Most intense lines, 2θ from 10° to 90°, in order of rising 2θ:
2θ (°), I_rel
10.54, 15.4
27.01, 14.8
29.07, 65.4
34.57, 100.0
42.34, 13.0
47.72, 34.4
51.60, 12.7
60.25, 20.2
66.24, 18.6
80.28, 17.9

Crystal structure
```
YTmTlSe
1.0
3.8115 0.0000 0.0000
-1.9058 3.3009 0.0000
0.0000 0.0000 8.3959
Y Tm Tl Se
1 1 1 1
Cartesian
0.0000 0.0000 0.0000
0.0000 2.2006 4.7575
1.9058 1.1003 2.4075
1.9058 1.1003 6.5486
```